# LiCu8
Computed PXRD pattern, Cu Kα. Input: a cell relaxed with GGA-PBE.
Intensities are scaled so that the largest is 100.

Structure:
```
data_LiCu8
_chemical_formula_sum 'Li1 Cu8'
_symmetry_space_group_name_H-M 'P -1'
_symmetry_Int_Tables_number 2
_cell_length_a 4.4291
_cell_length_b 4.4304
_cell_length_c 5.7042
_cell_angle_alpha 75.02
_cell_angle_beta 82.81
_cell_angle_gamma 80.41
loop_
_symmetry_equiv_pos_as_xyz
'x,y,z'
'-x,-y,-z'
loop_
_atom_site_label
_atom_site_fract_x
_atom_site_fract_y
_atom_site_fract_z
Li1 0.0000 0.0000 0.0000
Cu1 0.1120 0.5532 0.7745
Cu2 0.2230 0.1119 0.5499
Cu3 0.3366 0.6702 0.3318
Cu4 0.4431 0.2275 0.1098
```

Largest 8 diffraction maxima, most intense first, 10 to 90 degrees two-theta:
- 2θ 43.35, intensity 100, (2 0 1)
- 2θ 43.42, intensity 33, (0 1 -2)
- 2θ 50.41, intensity 21, (2 1 -1)
- 2θ 50.48, intensity 21, (1 -2 0)
- 2θ 50.63, intensity 21, (1 1 3)
- 2θ 74.14, intensity 18, (-3 1 1)
- 2θ 89.89, intensity 14, (4 1 0)
- 2θ 74.24, intensity 12, (3 2 2)



# LiCu
Computed PXRD pattern, Cu Kα. Input: a cell relaxed with GGA-PBE.
Intensities are scaled so that the largest is 100.

Structure:
```
data_LiCu
_chemical_formula_sum 'Li9 Cu9'
_symmetry_space_group_name_H-M 'R -3 m'
_symmetry_Int_Tables_number 166
_symmetry_space_group_name_Hall '-R 3 2"'
_cell_length_a 4.8686
_cell_length_b 4.8686
_cell_length_c 12.2325
_cell_angle_alpha 90.00
_cell_angle_beta 90.00
_cell_angle_gamma 120.00
loop_
_atom_site_label
_atom_site_fract_x
_atom_site_fract_y
_atom_site_fract_z
Li1 0.0000 0.0000 0.0000
Li2 0.0000 0.0000 0.3815
Cu1 0.0000 0.5000 0.5000
```

Largest 8 diffraction maxima, most intense first, 10 to 90 degrees two-theta:
- 2θ 21.80, intensity 100, (0 0 3)
- 2θ 43.56, intensity 54, (0 2 1)
- 2θ 45.51, intensity 49, (2 0 2)
- 2θ 22.30, intensity 33, (1 0 1)
- 2θ 52.74, intensity 28, (0 2 4)
- 2θ 25.66, intensity 21, (0 1 2)
- 2θ 57.73, intensity 19, (2 0 5)
- 2θ 44.44, intensity 17, (0 0 6)



# LiCu13
Computed PXRD pattern, Cu Kα. Input: a cell relaxed with GGA-PBE.
Intensities are scaled so that the largest is 100.

Structure:
```
data_LiCu13
_chemical_formula_sum 'Li2 Cu26'
_symmetry_space_group_name_H-M 'C 1 2/m 1'
_symmetry_Int_Tables_number 12
_cell_length_a 10.2337
_cell_length_b 7.0732
_cell_length_c 4.7125
_cell_angle_alpha 90.00
_cell_angle_beta 101.41
_cell_angle_gamma 90.00
loop_
_symmetry_equiv_pos_as_xyz
'x,y,z'
'-x,-y,-z'
'-x,y,-z'
'x,-y,z'
'x+1/2,y+1/2,z'
'-x+1/2,-y+1/2,-z'
'-x+1/2,y+1/2,-z'
'x+1/2,-y+1/2,z'
loop_
_atom_site_label
_atom_site_fract_x
_atom_site_fract_y
_atom_site_fract_z
Li1 0.0000 0.0000 0.0000
Cu1 0.0000 0.0000 0.5000
Cu2 0.0829 0.3031 0.8188
Cu3 0.1071 0.5000 0.4020
Cu4 0.1778 0.1741 0.3064
Cu5 0.2204 0.0000 0.8631
```

Largest 8 diffraction maxima, most intense first, 10 to 90 degrees two-theta:
- 2θ 44.90, intensity 100, (1 3 1)
- 2θ 47.05, intensity 47, (5 1 0)
- 2θ 45.50, intensity 43, (4 2 -1)
- 2θ 38.58, intensity 27, (2 2 1)
- 2θ 46.42, intensity 27, (2 0 2)
- 2θ 49.11, intensity 17, (3 3 -1)
- 2θ 43.21, intensity 17, (1 3 -1)
- 2θ 44.38, intensity 14, (4 0 1)



# Li7Cu
Computed PXRD pattern, Cu Kα. Input: a cell relaxed with GGA-PBE.
Intensities are scaled so that the largest is 100.

Structure:
```
data_Li7Cu
_chemical_formula_sum 'Li14 Cu2'
_symmetry_space_group_name_H-M 'P -1'
_symmetry_Int_Tables_number 2
_cell_length_a 6.0522
_cell_length_b 6.0759
_cell_length_c 8.2463
_cell_angle_alpha 111.56
_cell_angle_beta 111.50
_cell_angle_gamma 90.08
loop_
_symmetry_equiv_pos_as_xyz
'x,y,z'
'-x,-y,-z'
loop_
_atom_site_label
_atom_site_fract_x
_atom_site_fract_y
_atom_site_fract_z
Li1 0.0234 0.0232 0.3303
Li2 0.0412 0.5748 0.3646
Li3 0.1965 0.1968 0.1097
Li4 0.2087 0.6632 0.1171
Li5 0.3364 0.7906 0.8831
Li6 0.4087 0.4083 0.5980
Li7 0.4262 0.9598 0.6365
Cu1 0.3339 0.3346 0.8784
```

Largest 8 diffraction maxima, most intense first, 10 to 90 degrees two-theta:
- 2θ 15.91, intensity 100, (0 1 -1)
- 2θ 12.56, intensity 37, (0 0 1)
- 2θ 39.18, intensity 31, (2 0 -3)
- 2θ 24.30, intensity 30, (1 1 -2)
- 2θ 23.96, intensity 26, (1 0 -2)
- 2θ 20.70, intensity 24, (1 -1 0)
- 2θ 38.31, intensity 18, (1 2 0)
- 2θ 42.15, intensity 16, (2 -2 0)



# Li8Cu
Computed PXRD pattern, Cu Kα. Input: a cell relaxed with GGA-PBE.
Intensities are scaled so that the largest is 100.

Structure:
```
data_Li8Cu
_chemical_formula_sum 'Li16 Cu2'
_symmetry_space_group_name_H-M 'P -1'
_symmetry_Int_Tables_number 2
_cell_length_a 5.2595
_cell_length_b 6.3452
_cell_length_c 9.6309
_cell_angle_alpha 80.69
_cell_angle_beta 77.52
_cell_angle_gamma 72.27
loop_
_symmetry_equiv_pos_as_xyz
'x,y,z'
'-x,-y,-z'
loop_
_atom_site_label
_atom_site_fract_x
_atom_site_fract_y
_atom_site_fract_z
Li1 0.9997 0.2385 0.0145
Li2 0.0682 0.8970 0.2483
Li3 0.0872 0.4440 0.2370
Li4 0.1967 0.1113 0.4499
Li5 0.3549 0.7246 0.6496
Li6 0.3979 0.2626 0.6427
Li7 0.4578 0.4057 0.8877
Li8 0.4706 0.9202 0.8717
Cu1 0.1989 0.5694 0.4530
```

Largest 8 diffraction maxima, most intense first, 10 to 90 degrees two-theta:
- 2θ 14.74, intensity 100, (0 1 0)
- 2θ 16.69, intensity 89, (0 1 1)
- 2θ 40.36, intensity 62, (1 -2 1)
- 2θ 39.43, intensity 52, (0 2 3)
- 2θ 18.98, intensity 46, (0 0 2)
- 2θ 22.86, intensity 41, (0 1 2)
- 2θ 18.35, intensity 40, (0 1 -1)
- 2θ 39.25, intensity 35, (1 2 -2)



# LiCu7
Computed PXRD pattern, Cu Kα. Input: a cell relaxed with GGA-PBE.
Intensities are scaled so that the largest is 100.

Structure:
```
data_LiCu7
_chemical_formula_sum 'Li1 Cu7'
_symmetry_space_group_name_H-M 'P -1'
_symmetry_Int_Tables_number 2
_cell_length_a 4.4227
_cell_length_b 4.4452
_cell_length_c 5.0807
_cell_angle_alpha 90.04
_cell_angle_beta 106.71
_cell_angle_gamma 99.11
loop_
_symmetry_equiv_pos_as_xyz
'x,y,z'
'-x,-y,-z'
loop_
_atom_site_label
_atom_site_fract_x
_atom_site_fract_y
_atom_site_fract_z
Li1 0.0000 0.0000 0.0000
Cu1 0.0000 0.0000 0.5000
Cu2 0.0006 0.5039 0.7491
Cu3 0.4932 0.7516 0.6223
Cu4 0.4983 0.7448 0.1262
```

Largest 8 diffraction maxima, most intense first, 10 to 90 degrees two-theta:
- 2θ 43.35, intensity 100, (2 0 0)
- 2θ 50.73, intensity 41, (1 -1 2)
- 2θ 43.45, intensity 33, (0 1 2)
- 2θ 74.07, intensity 24, (2 1 2)
- 2θ 50.09, intensity 21, (1 2 0)
- 2θ 89.41, intensity 11, (3 2 0)
- 2θ 74.43, intensity 6, (3 -2 0)
- 2θ 74.74, intensity 6, (1 0 -4)



# LiMgCu2
Computed PXRD pattern, Cu Kα. Input: a cell relaxed with GGA-PBE.
Intensities are scaled so that the largest is 100.

Structure:
```
data_LiMgCu2
_chemical_formula_sum 'Li4 Mg4 Cu8'
_symmetry_space_group_name_H-M 'P m -3 m'
_symmetry_Int_Tables_number 221
_symmetry_space_group_name_Hall '-P 4 2 3'
_cell_length_a 6.0268
_cell_length_b 6.0268
_cell_length_c 6.0268
_cell_angle_alpha 90.00
_cell_angle_beta 90.00
_cell_angle_gamma 90.00
loop_
_atom_site_label
_atom_site_fract_x
_atom_site_fract_y
_atom_site_fract_z
Li1 0.0000 0.0000 0.0000
Li2 0.0000 0.0000 0.5000
Mg1 0.0000 0.5000 0.5000
Mg2 0.5000 0.5000 0.5000
Cu1 0.2343 0.2343 0.2343
```

Largest 8 diffraction maxima, most intense first, 10 to 90 degrees two-theta:
- 2θ 42.42, intensity 100, (2 2 0)
- 2θ 29.65, intensity 56, (2 0 0)
- 2θ 77.61, intensity 26, (4 2 2)
- 2θ 61.55, intensity 14, (4 0 0)
- 2θ 69.79, intensity 13, (4 2 0)
- 2θ 52.61, intensity 13, (2 2 2)
- 2θ 33.24, intensity 8, (2 1 0)
- 2θ 87.08, intensity 6, (5 2 0)



# LiMgCu2N2
Computed PXRD pattern, Cu Kα. Input: a cell relaxed with GGA-PBE.
Intensities are scaled so that the largest is 100.

Structure:
```
data_LiMgCu2N2
_chemical_formula_sum 'Li1 Mg1 Cu2 N2'
_symmetry_space_group_name_H-M 'P 4 m m'
_symmetry_Int_Tables_number 99
_cell_length_a 3.3421
_cell_length_b 3.3421
_cell_length_c 5.4927
_cell_angle_alpha 90.00
_cell_angle_beta 90.00
_cell_angle_gamma 90.00
loop_
_symmetry_equiv_pos_as_xyz
'x,y,z'
'-y,x,z'
'-x,-y,z'
'y,-x,z'
'-x,y,z'
'y,x,z'
'x,-y,z'
'-y,-x,z'
loop_
_atom_site_label
_atom_site_fract_x
_atom_site_fract_y
_atom_site_fract_z
Li1 0.0000 0.0000 0.0000
Mg1 0.5000 0.5000 0.2684
Cu1 0.0000 0.5000 0.6594
N1 0.0000 0.0000 0.3637
N2 0.5000 0.5000 0.8824
```

Largest 8 diffraction maxima, most intense first, 10 to 90 degrees two-theta:
- 2θ 16.14, intensity 100, (0 0 1)
- 2θ 41.60, intensity 75, (1 1 1)
- 2θ 50.98, intensity 38, (1 1 2)
- 2θ 54.95, intensity 22, (2 0 0)
- 2θ 32.60, intensity 21, (0 0 2)
- 2θ 57.66, intensity 13, (2 0 1)
- 2θ 38.08, intensity 12, (1 1 0)
- 2θ 65.37, intensity 11, (2 0 2)



# LiCu3Te4Mo
Computed PXRD pattern, Cu Kα. Input: a cell relaxed with GGA-PBE.
Intensities are scaled so that the largest is 100.

Structure:
```
data_LiCu3Te4Mo
_chemical_formula_sum 'Li1 Cu3 Te4 Mo1'
_symmetry_space_group_name_H-M 'P -4 3 m'
_symmetry_Int_Tables_number 215
_symmetry_space_group_name_Hall 'P -4 2 3'
_cell_length_a 6.0437
_cell_length_b 6.0437
_cell_length_c 6.0437
_cell_angle_alpha 90.00
_cell_angle_beta 90.00
_cell_angle_gamma 90.00
loop_
_atom_site_label
_atom_site_fract_x
_atom_site_fract_y
_atom_site_fract_z
Li1 0.0000 0.0000 0.0000
Cu1 0.0000 0.5000 0.5000
Te1 0.2492 0.2492 0.2492
Mo1 0.5000 0.5000 0.5000
```

Largest 8 diffraction maxima, most intense first, 10 to 90 degrees two-theta:
- 2θ 25.53, intensity 100, (1 1 1)
- 2θ 42.30, intensity 97, (2 2 0)
- 2θ 50.06, intensity 47, (3 1 1)
- 2θ 77.35, intensity 31, (4 2 2)
- 2θ 14.66, intensity 27, (1 0 0)
- 2θ 67.56, intensity 19, (3 3 1)
- 2θ 33.14, intensity 16, (2 1 0)
- 2θ 61.36, intensity 16, (4 0 0)



# LiNbCuSeS2
Computed PXRD pattern, Cu Kα. Input: a cell relaxed with GGA-PBE.
Intensities are scaled so that the largest is 100.

Structure:
```
data_LiNbCuSeS2
_chemical_formula_sum 'Li4 Nb4 Cu4 Se4 S8'
_symmetry_space_group_name_H-M 'C m c m'
_symmetry_Int_Tables_number 63
_symmetry_space_group_name_Hall '-C 2c 2'
_cell_length_a 3.4629
_cell_length_b 12.6662
_cell_length_c 9.6499
_cell_angle_alpha 90.00
_cell_angle_beta 90.00
_cell_angle_gamma 90.00
loop_
_atom_site_label
_atom_site_fract_x
_atom_site_fract_y
_atom_site_fract_z
Li1 0.0000 0.2162 0.2500
Nb1 0.0000 0.0000 0.0000
Cu1 0.0000 0.4689 0.7500
Se1 0.0000 0.1040 0.7500
S1 0.0000 0.3641 0.5632
```

Largest 8 diffraction maxima, most intense first, 10 to 90 degrees two-theta:
- 2θ 13.98, intensity 100, (0 2 0)
- 2θ 38.45, intensity 60, (1 3 2)
- 2θ 48.35, intensity 31, (1 5 2)
- 2θ 34.77, intensity 26, (1 3 1)
- 2θ 37.27, intensity 20, (0 0 4)
- 2θ 39.99, intensity 17, (0 2 4)
- 2θ 28.27, intensity 16, (1 1 1)
- 2θ 31.19, intensity 13, (0 2 3)



# Li4Zn2CuNi
Computed PXRD pattern, Cu Kα. Input: a cell relaxed with GGA-PBE.
Intensities are scaled so that the largest is 100.

Structure:
```
data_Li4Zn2CuNi
_chemical_formula_sum 'Li4 Zn2 Cu1 Ni1'
_symmetry_space_group_name_H-M 'P -4 m 2'
_symmetry_Int_Tables_number 115
_cell_length_a 4.1800
_cell_length_b 4.1800
_cell_length_c 5.9318
_cell_angle_alpha 90.00
_cell_angle_beta 90.00
_cell_angle_gamma 90.00
loop_
_symmetry_equiv_pos_as_xyz
'x,y,z'
'y,-x,-z'
'-x,-y,z'
'-y,x,-z'
'-x,y,z'
'-y,-x,-z'
'x,-y,z'
'y,x,-z'
loop_
_atom_site_label
_atom_site_fract_x
_atom_site_fract_y
_atom_site_fract_z
Li1 0.0000 0.0000 0.0000
Li2 0.0000 0.5000 0.2472
Li3 0.5000 0.5000 0.5000
Zn1 0.0000 0.5000 0.7615
Cu1 0.0000 0.0000 0.5000
Ni1 0.5000 0.5000 0.0000
```

Largest 8 diffraction maxima, most intense first, 10 to 90 degrees two-theta:
- 2θ 43.24, intensity 100, (2 0 0)
- 2θ 26.08, intensity 99, (1 0 1)
- 2θ 51.24, intensity 29, (2 1 1)
- 2θ 79.36, intensity 20, (3 1 2)
- 2θ 51.10, intensity 14, (1 0 3)
- 2θ 69.16, intensity 11, (2 1 3)
- 2θ 62.89, intensity 10, (2 2 0)
- 2θ 79.20, intensity 10, (2 0 4)



# LiCu2Pb
Computed PXRD pattern, Cu Kα. Input: a cell relaxed with GGA-PBE.
Intensities are scaled so that the largest is 100.

Structure:
```
data_LiCu2Pb
_chemical_formula_sum 'Li4 Cu8 Pb4'
_symmetry_space_group_name_H-M 'P m -3 m'
_symmetry_Int_Tables_number 221
_symmetry_space_group_name_Hall '-P 4 2 3'
_cell_length_a 6.3381
_cell_length_b 6.3381
_cell_length_c 6.3381
_cell_angle_alpha 90.00
_cell_angle_beta 90.00
_cell_angle_gamma 90.00
loop_
_atom_site_label
_atom_site_fract_x
_atom_site_fract_y
_atom_site_fract_z
Li1 0.0000 0.0000 0.0000
Li2 0.0000 0.0000 0.5000
Cu1 0.2152 0.2152 0.2152
Pb1 0.0000 0.5000 0.5000
Pb2 0.5000 0.5000 0.5000
```

Largest 8 diffraction maxima, most intense first, 10 to 90 degrees two-theta:
- 2θ 40.24, intensity 100, (2 2 0)
- 2θ 31.56, intensity 59, (2 1 0)
- 2θ 13.97, intensity 28, (1 0 0)
- 2θ 73.15, intensity 26, (4 2 2)
- 2θ 24.32, intensity 24, (1 1 1)
- 2θ 42.80, intensity 23, (3 0 0)
- 2θ 60.20, intensity 20, (3 2 2)
- 2θ 58.23, intensity 14, (4 0 0)